Diffraction record for Dy2YEr2Tm2Ni2Te2. The XRD peak list is simulated, not measured: it uses a cell relaxed with GGA-PBE and CuKα.
No peak broadening, texture or thermal motion is included.

Most intense lines, 10° ≤ 2θ ≤ 90°, sorted by position:
2θ = 30.4°, rel. 43, hkl 1 1 2; 2θ = 33.0°, rel. 80, hkl 0 3 3; 2θ = 34.1°, rel. 100, hkl 1 4 1; 2θ = 34.6°, rel. 80, hkl 0 6 0; 2θ = 47.3°, rel. 28, hkl 2 0 0; 2θ = 58.9°, rel. 31, hkl 2 3 3

Atomic structure:
```
data_Dy2YEr2Tm2Ni2Te2
_symmetry_space_group_name_H-M 'I m m 2'
_symmetry_Int_Tables_number 44
_symmetry_space_group_name_Hall 'I 2 -2'
_cell_length_a 3.841
_cell_length_b 15.567
_cell_length_c 9.538
_cell_angle_alpha 90.00
_cell_angle_beta 90.00
_cell_angle_gamma 90.00
loop_
_atom_site_label
_atom_site_type_symbol
_atom_site_fract_x
_atom_site_fract_y
_atom_site_fract_z
Dy1 Dy 0.000 0.185 0.000
Y1 Y 0.000 0.500 0.380
Er1 Er 0.000 0.147 0.649
Tm1 Tm 0.000 0.368 0.798
Ni1 Ni 0.000 0.261 0.307
Te1 Te 0.000 0.000 0.146
Te2 Te 0.000 0.500 0.043
```